Structure and theoretical PXRD pattern of Cs4Sn3Cl10 (a cell relaxed with GGA-PBE; copper Kα).
Intensities are scaled so that the largest is 100.

Top 10 peaks for 10° ≤ 2θ ≤ 90°, by intensity:
two_theta, I/Imax
22.18, 100.0
31.75, 69.0
22.30, 68.8
39.07, 48.1
45.25, 35.7
51.23, 27.2
31.39, 25.8
45.51, 25.4
28.67, 22.7
38.85, 20.7

Cell and atoms:
abc: 20.342 20.342 20.342
angles: 164.07 164.07 22.60
Atoms (fractional coordinates):
Cs (0.068, 0.068, 0.000)
Cs (0.201, 0.201, 0.000)
Cs (0.799, 0.799, 0.000)
Cs (0.932, 0.932, 0.000)
Sn (0.357, 0.357, 0.000)
Sn (0.500, 0.500, 0.000)
Sn (0.643, 0.643, 0.000)
Cl (0.000, 0.500, 0.500)
Cl (0.142, 0.642, 0.500)
Cl (0.288, 0.288, 0.000)
Cl (0.358, 0.858, 0.500)
Cl (0.430, 0.430, 0.000)
Cl (0.500, 0.000, 0.500)
Cl (0.570, 0.570, 0.000)
Cl (0.642, 0.142, 0.500)
Cl (0.712, 0.712, 0.000)
Cl (0.858, 0.358, 0.500)